No. 1
Starting from a crystal structure in Alexandria, relaxed with PBE, the XRD peak list of YThNiAu was computed for Cu Kα (λ = 1.5418 Å).
Intensities are scaled so that the largest is 100.

Structure:
Cell: 4.250 3.834 11.517 Å, 90.00 90.00 90.00°
Space group Amm2 (No. 38)
One atom of each set of equivalent atoms:
Y: 0.000 0.000 0.000 [2 per cell]
Th: 0.500 0.000 0.722 [2 per cell]
Ni: 0.000 0.000 0.255 [2 per cell]
Au: 0.500 0.000 0.434 [2 per cell]

Main lines, in order of rising 2θ (2θ = 10–90°):
2θ (°)	I (rel.)	(hkl)
20.9	35.8	1 0 0
31.1	41.5	0 0 4
32.4	100.0	1 1 1
33.0	41.8	0 1 3
37.7	29.9	1 0 4
39.4	86.3	1 1 3
42.5	28.8	2 0 0
65.6	31.3	2 2 0

=====

No. 2
Starting from a crystal structure in Alexandria, relaxed with PBE, the XRD peak list of Ti11Ni4Au9 was computed for Cu Kα (λ = 1.5418 Å).
Intensities are scaled so that the largest is 100.

Structure:
Cell: 12.994 19.677 3.013 Å, 90.00 90.00 90.00°
Space group Cmmm (No. 65)
One atom of each set of equivalent atoms:
Ti: 0.000 0.000 0.000 [2 per cell]
Ti: 0.000 0.161 0.000 [4 per cell]
Ti: 0.000 0.370 0.000 [4 per cell]
Ti: 0.197 0.500 0.000 [4 per cell]
Ti: 0.237 0.173 0.000 [8 per cell]
Ni: 0.149 0.401 0.500 [8 per cell]
Au: 0.000 0.500 0.500 [2 per cell]
Au: 0.108 0.265 0.500 [8 per cell]
Au: 0.146 0.073 0.500 [8 per cell]

Main lines, in order of rising 2θ (2θ = 10–90°):
2θ (°)	I (rel.)	(hkl)
21.0	32.7	3 1 0
29.6	61.4	0 0 1
38.2	34.8	1 5 1
39.0	100.0	4 6 0
40.7	78.2	0 6 1
40.8	78.9	4 0 1
41.9	41.1	1 9 0
49.8	42.6	4 6 1

=====

No. 3
Starting from a crystal structure in Alexandria, relaxed with PBE, the XRD peak list of Ti6Ni6Au was computed for Cu Kα (λ = 1.5418 Å).
Intensities are scaled so that the largest is 100.

Structure:
Cell: 4.864 8.643 8.716 Å, 90.00 90.00 90.00°
Space group Immm (No. 71)
One atom of each set of equivalent atoms:
Ti: 0.000 0.000 0.158 [4 per cell]
Ti: 0.000 0.315 0.000 [4 per cell]
Ti: 0.000 0.347 0.500 [4 per cell]
Ni: 0.000 0.500 0.234 [4 per cell]
Ni: 0.250 0.250 0.250 [8 per cell]
Au: 0.000 0.000 0.500 [2 per cell]

Main lines, in order of rising 2θ (2θ = 10–90°):
2θ (°)	I (rel.)	(hkl)
14.4	46.3	0 1 1
29.4	61.2	1 1 2
36.0	30.7	1 0 3
36.2	32.3	1 3 0
41.4	46.6	0 0 4
41.8	81.8	0 4 0
41.9	79.4	1 3 2
42.6	100.0	2 2 0

=====

No. 4
Starting from a crystal structure in Alexandria, relaxed with PBE, the XRD peak list of TiNi2Au was computed for Cu Kα (λ = 1.5418 Å).
Intensities are scaled so that the largest is 100.

Structure:
Cell: 4.389 5.420 4.588 Å, 90.00 90.00 90.00°
Space group Pmmn (No. 59, origin choice 2)
One atom of each set of equivalent atoms:
Ti: 0.250 0.250 0.186 [2 per cell]
Ni: 0.250 0.001 0.668 [4 per cell]
Au: 0.250 0.750 0.178 [2 per cell]

Main lines, in order of rising 2θ (2θ = 10–90°):
2θ (°)	I (rel.)	(hkl)
25.4	33.8	0 1 1
26.1	39.0	1 1 0
38.6	18.6	0 2 1
41.1	38.1	2 0 0
43.9	100.0	1 2 1
44.6	38.9	1 0 2
76.9	18.4	3 2 1
85.2	17.2	2 2 3

=====

No. 5
Starting from a crystal structure in Alexandria, relaxed with PBE, the XRD peak list of Tm2NiAu was computed for Cu Kα (λ = 1.5418 Å).
Intensities are scaled so that the largest is 100.

Structure:
Cell: 5.536 4.459 7.349 Å, 90.00 110.19 90.00°
Space group P2_1/m (No. 11)
One atom of each set of equivalent atoms:
Tm: 0.209 0.250 0.432 [2 per cell]
Tm: 0.230 0.250 0.926 [2 per cell]
Ni: 0.337 0.750 0.708 [2 per cell]
Au: 0.335 0.750 0.213 [2 per cell]

Main lines, in order of rising 2θ (2θ = 10–90°):
2θ (°)	I (rel.)	(hkl)
32.6	100.0	1 1 -2
32.8	93.3	0 1 2
34.5	52.6	2 0 0
40.2	46.5	2 1 0
40.5	64.8	0 2 0
40.9	62.8	2 1 -2
41.4	60.2	1 1 2
49.6	36.5	1 0 -4

=====

No. 6
Starting from a crystal structure in Alexandria, relaxed with PBE, the XRD peak list of V2Ni2Au was computed for Cu Kα (λ = 1.5418 Å).
Intensities are scaled so that the largest is 100.

Structure:
Cell: 7.063 7.063 2.659 Å, 90.00 90.00 90.00°
Space group P4/mbm (No. 127)
One atom of each set of equivalent atoms:
V: 0.169 0.331 0.000 [4 per cell]
Ni: 0.125 0.625 0.500 [4 per cell]
Au: 0.000 0.000 0.500 [2 per cell]

Main lines, in order of rising 2θ (2θ = 10–90°):
2θ (°)	I (rel.)	(hkl)
17.8	42.7	1 1 0
25.2	36.2	2 0 0
36.0	36.3	2 2 0
38.3	29.3	1 1 1
40.4	100.0	3 1 0
42.6	56.3	2 0 1
44.5	41.5	2 1 1
53.6	45.1	3 1 1

=====

No. 7
Starting from a crystal structure in Alexandria, relaxed with PBE, the XRD peak list of YNiAu was computed for Cu Kα (λ = 1.5418 Å).
Intensities are scaled so that the largest is 100.

Structure:
Cell: 6.163 5.358 7.482 Å, 90.00 111.43 90.00°
Space group P2_1/c (No. 14)
One atom of each set of equivalent atoms:
Y: 0.190 0.116 0.375 [4 per cell]
Ni: 0.165 0.620 0.518 [4 per cell]
Au: 0.408 0.594 0.295 [4 per cell]

Main lines, in order of rising 2θ (2θ = 10–90°):
2θ (°)	I (rel.)	(hkl)
15.4	63.2	1 0 0
33.6	100.0	2 1 -1
34.7	92.1	1 0 2
35.9	99.2	0 2 1
36.6	67.3	2 1 -2
39.9	94.0	1 1 -3
41.2	91.3	1 2 1
61.8	33.3	2 3 -2

=====

No. 8
Starting from a crystal structure in Alexandria, relaxed with PBE, the XRD peak list of Y4NiAu3 was computed for Cu Kα (λ = 1.5418 Å).
Intensities are scaled so that the largest is 100.

Structure:
Cell: 3.762 4.638 10.724 Å, 90.00 90.00 90.00°
Space group Pmm2 (No. 25)
One atom of each set of equivalent atoms:
Y: 0.000 0.000 0.000 [1 per cell]
Y: 0.000 0.500 0.264 [1 per cell]
Y: 0.500 0.000 0.475 [1 per cell]
Y: 0.500 0.500 0.769 [1 per cell]
Ni: 0.500 0.000 0.207 [1 per cell]
Au: 0.000 0.000 0.716 [1 per cell]
Au: 0.000 0.500 0.540 [1 per cell]
Au: 0.500 0.500 0.049 [1 per cell]

Main lines, in order of rising 2θ (2θ = 10–90°):
2θ (°)	I (rel.)	(hkl)
16.5	22.9	0 0 2
25.1	26.3	1 0 1
31.7	100.0	1 1 1
33.4	26.4	0 0 4
38.8	74.3	0 2 0
39.8	97.7	1 1 3
63.7	34.5	2 2 0
65.9	24.6	1 0 7

=====

No. 9
Starting from a crystal structure in Alexandria, relaxed with PBE, the XRD peak list of Y4Ni3Au was computed for Cu Kα (λ = 1.5418 Å).
Intensities are scaled so that the largest is 100.

Structure:
Cell: 3.734 4.437 10.307 Å, 90.00 90.00 90.00°
Space group Pmm2 (No. 25)
One atom of each set of equivalent atoms:
Y: 0.000 0.000 0.000 [1 per cell]
Y: 0.000 0.500 0.266 [1 per cell]
Y: 0.500 0.000 0.478 [1 per cell]
Y: 0.500 0.500 0.773 [1 per cell]
Ni: 0.000 0.500 0.547 [1 per cell]
Ni: 0.500 0.000 0.201 [1 per cell]
Ni: 0.500 0.500 0.058 [1 per cell]
Au: 0.000 0.000 0.705 [1 per cell]

Main lines, in order of rising 2θ (2θ = 10–90°):
2θ (°)	I (rel.)	(hkl)
17.2	18.6	0 0 2
32.5	100.0	1 1 1
34.8	20.5	0 0 4
35.5	27.1	1 0 3
40.5	31.0	0 1 4
40.7	34.1	0 2 0
41.1	72.5	1 1 3
48.8	20.7	2 0 0

=====

No. 10
Starting from a crystal structure in Alexandria, relaxed with PBE, the XRD peak list of ZnNiAu was computed for Cu Kα (λ = 1.5418 Å).
Intensities are scaled so that the largest is 100.

Structure:
Cell: 2.856 3.453 8.694 Å, 90.00 90.00 90.00°
Space group Imm2 (No. 44)
One atom of each set of equivalent atoms:
Zn: 0.000 0.000 0.000 [2 per cell]
Ni: 0.000 0.000 0.362 [2 per cell]
Au: 0.000 0.000 0.682 [2 per cell]

Main lines, in order of rising 2θ (2θ = 10–90°):
2θ (°)	I (rel.)	(hkl)
20.4	29.7	0 0 2
27.8	48.6	0 1 1
33.0	31.7	1 0 1
40.6	99.7	0 1 3
41.0	100.0	1 1 0
44.5	76.6	1 0 3
71.7	36.3	1 2 3
79.9	27.1	2 1 3

=====

No. 11
Starting from a crystal structure in Alexandria, relaxed with PBE, the XRD peak list of Zn8NiAu6 was computed for Cu Kα (λ = 1.5418 Å).
Intensities are scaled so that the largest is 100.

Structure:
Cell: 7.5863 7.5863 16.0482 Å, 90.00 90.00 120.00°
Space group R-3 (No. 148, hexagonal axes)
One atom of each set of equivalent atoms:
Zn: 0.0000 0.0000 0.1605 [6 per cell]
Zn: 0.0021 0.6775 0.6171 [18 per cell]
Ni: 0.0000 0.0000 0.5000 [3 per cell]
Au: 0.0011 0.3365 0.8888 [18 per cell]

Main lines, in order of rising 2θ (2θ = 10–90°):
2θ (°)	I (rel.)	(hkl)
16.6	13.4	0 0 3
23.5	21.7	1 1 0
28.9	25.6	2 -1 3
41.3	100.0	3 0 0
44.7	6.9	3 0 3
59.8	17.5	2 2 6
75.2	25.5	3 3 0
75.4	7.9	1 1 12

=====

No. 12
Starting from a crystal structure in Alexandria, relaxed with PBE, the XRD peak list of Zn6NiAu3 was computed for Cu Kα (λ = 1.5418 Å).
Intensities are scaled so that the largest is 100.

Structure:
Cell: 7.429 4.445 9.890 Å, 90.00 111.09 90.00°
Space group P2_1/m (No. 11)
One atom of each set of equivalent atoms:
Zn: 0.002 0.250 0.165 [2 per cell]
Zn: 0.014 0.750 0.327 [2 per cell]
Zn: 0.206 0.750 0.149 [2 per cell]
Zn: 0.239 0.250 0.474 [2 per cell]
Zn: 0.392 0.750 0.927 [2 per cell]
Zn: 0.426 0.250 0.299 [2 per cell]
Ni: 0.392 0.750 0.428 [2 per cell]
Au: 0.163 0.750 0.618 [2 per cell]
Au: 0.205 0.250 0.982 [2 per cell]
Au: 0.413 0.250 0.771 [2 per cell]

Main lines, in order of rising 2θ (2θ = 10–90°):
2θ (°)	I (rel.)	(hkl)
12.9	19.1	1 0 -1
27.4	39.8	1 1 1
37.7	40.1	2 0 2
40.6	66.5	0 2 0
41.8	100.0	1 1 -4
42.1	96.9	3 1 -2
43.0	48.8	2 1 2
56.6	24.3	2 2 2

=====

Number 8 is which compound? Y4NiAu3